This entry pairs a crystal structure of Cs2AgF7 with its theoretical XRD peak list. Radiation: Cu Kα X-rays. Structure: the PBE geometry in Alexandria.
Intensities are scaled so that the largest is 100.

Top 10 peaks for 2θ from 10° to 80°, low angle first:
d (Å)  intensity
4.036  41
3.992  100
3.742  69
3.324  86
3.232  49
2.406  66
2.199  41
2.070  22
2.019  28
1.532  20

Atomic structure:
Cell: 14.9710 7.4194 10.4981 Å, 90.00 133.99 90.00°
Space group C2/c (No. 15)
Asymmetric unit:
Cs: 0.1740 0.0871 0.0896 x8
Ag: 0.0000 0.4058 0.2500 x4
F: 0.0000 0.1227 0.2500 x4
F: 0.0666 0.2734 0.7497 x8
F: 0.0851 0.3898 0.1695 x8
F: 0.1627 0.4109 0.4962 x8